[1]
# Rb3Ga2F8
Simulated powder X-ray diffraction pattern, copper Kα. Input: a structure optimized by DFT (GGA-PBE).
Lines closer than 0.1° are merged.

Peak list (10 most intense, 2θ from 5° to 70°, in order of rising 2θ)
- 26.6°, 3.354 Å, I 59
- 27.3°, 3.266 Å, I 100
- 36.1°, 2.486 Å, I 15
- 38.5°, 2.340 Å, I 38
- 38.9°, 2.314 Å, I 17
- 47.8°, 1.902 Å, I 23
- 48.2°, 1.887 Å, I 46
- 56.3°, 1.633 Å, I 23
- 63.3°, 1.468 Å, I 10
- 63.7°, 1.462 Å, I 11

Crystal structure
Unit cell a=7.8999 b=7.8999 c=7.8999 alpha=48.85 beta=48.85 gamma=48.85
Fractional coordinates of all 13 atoms:
Rb 0.0000 0.0000 0.0000
Rb 0.2104 0.2104 0.2104
Rb 0.7896 0.7896 0.7896
Ga 0.4301 0.4301 0.4301
Ga 0.5699 0.5699 0.5699
F 0.2308 0.7285 0.7285
F 0.2715 0.2715 0.7692
F 0.2715 0.7692 0.2715
F 0.3412 0.3412 0.3412
F 0.6588 0.6588 0.6588
F 0.7285 0.2308 0.7285
F 0.7285 0.7285 0.2308
F 0.7692 0.2715 0.2715

=====

[2]
# Rb2Ga2F7
Simulated powder X-ray diffraction pattern, copper Kα. Input: a structure optimized by DFT (GGA-PBE).
Lines closer than 0.1° are merged.

Peak list (10 most intense, 2θ from 5° to 70°, in order of rising 2θ)
- 24.2°, 3.682 Å, I 100
- 28.6°, 3.122 Å, I 30
- 29.0°, 3.084 Å, I 20
- 29.3°, 3.050 Å, I 33
- 31.8°, 2.814 Å, I 45
- 43.0°, 2.101 Å, I 16
- 44.0°, 2.057 Å, I 17
- 48.5°, 1.876 Å, I 23
- 49.5°, 1.841 Å, I 14
- 51.2°, 1.783 Å, I 16

Crystal structure
Unit cell a=5.8111 b=5.8111 c=6.1699 alpha=90.95 beta=90.95 gamma=104.34
Fractional coordinates of all 11 atoms:
Rb 0.2285 0.7715 0.0000
Rb 0.7715 0.2285 0.0000
Ga 0.2797 0.2797 0.4944
Ga 0.7203 0.7203 0.5056
F 0.0000 0.0000 0.5000
F 0.1176 0.4359 0.3120
F 0.2843 0.2843 0.7958
F 0.4359 0.1176 0.3120
F 0.5641 0.8824 0.6880
F 0.7157 0.7157 0.2042
F 0.8824 0.5641 0.6880

=====

[3]
# Rb2GaF7
Simulated powder X-ray diffraction pattern, copper Kα. Input: a structure optimized by DFT (GGA-PBE).
Lines closer than 0.1° are merged.

Peak list (10 most intense, 2θ from 5° to 70°, in order of rising 2θ)
- 17.8°, 4.992 Å, I 32
- 28.6°, 3.121 Å, I 100
- 30.4°, 2.939 Å, I 40
- 36.0°, 2.496 Å, I 34
- 38.1°, 2.363 Å, I 26
- 43.5°, 2.078 Å, I 39
- 49.5°, 1.842 Å, I 16
- 52.9°, 1.730 Å, I 34
- 59.2°, 1.561 Å, I 25
- 63.1°, 1.473 Å, I 14

Crystal structure
Unit cell a=6.2939 b=6.2939 c=6.2939 alpha=124.33 beta=124.33 gamma=82.66
Fractional coordinates of all 10 atoms:
Rb 0.2500 0.7500 0.5000
Rb 0.7500 0.2500 0.5000
Ga 0.0000 0.0000 0.0000
F 0.1977 0.1977 0.0000
F 0.2336 0.2336 0.4671
F 0.2336 0.7664 0.0000
F 0.5000 0.5000 0.0000
F 0.7664 0.2336 0.0000
F 0.7664 0.7664 0.5329
F 0.8023 0.8023 0.0000

=====

[4]
# RbGaF3
Simulated powder X-ray diffraction pattern, copper Kα. Input: a structure optimized by DFT (GGA-PBE).
Lines closer than 0.1° are merged.

Peak list (10 most intense, 2θ from 5° to 70°, in order of rising 2θ)
- 26.0°, 3.425 Å, I 96
- 26.2°, 3.404 Å, I 97
- 27.6°, 3.233 Å, I 100
- 28.3°, 3.153 Å, I 84
- 29.8°, 2.998 Å, I 67
- 30.0°, 2.975 Å, I 60
- 34.0°, 2.638 Å, I 43
- 40.3°, 2.239 Å, I 35
- 45.2°, 2.004 Å, I 84
- 46.3°, 1.959 Å, I 33

Crystal structure
Unit cell a=4.0102 b=6.8999 c=6.9440 alpha=80.62 beta=88.58 gamma=89.15
Fractional coordinates of all 10 atoms:
Rb 0.0000 0.0000 0.0000
Rb 0.0072 0.5702 0.5723
Ga 0.5004 0.4863 0.0415
Ga 0.5126 0.1001 0.4883
F 0.0014 0.4821 0.0382
F 0.4916 0.2160 0.1862
F 0.4960 0.5853 0.2759
F 0.5024 0.7381 0.8823
F 0.5145 0.3617 0.8182
F 0.9190 0.9554 0.4139